Record 1
# TiBi6P2O16
Computed X-ray powder pattern, Cu Kα X-rays. Input: a crystal structure in the Materials Project, relaxed with GGA-PBE.

Structure:
```
data_TiBi6P2O16
_symmetry_space_group_name_H-M 'C 1 2 1'
_symmetry_Int_Tables_number 5
_symmetry_space_group_name_Hall 'C 2y'
_cell_length_a 15.480
_cell_length_b 5.438
_cell_length_c 11.359
_cell_angle_alpha 90.00
_cell_angle_beta 132.56
_cell_angle_gamma 90.00
loop_
_atom_site_label
_atom_site_fract_x
_atom_site_fract_y
_atom_site_fract_z
Ti1 0.000 0.000 0.000
Bi1 0.010 0.992 0.678
Bi2 0.162 0.446 0.987
Bi3 0.162 0.490 0.652
P1 0.143 0.517 0.276
O1 0.000 0.246 0.500
O2 0.000 0.736 0.500
O3 0.070 0.510 0.324
O4 0.090 0.056 0.947
O5 0.102 0.754 0.166
O6 0.113 0.290 0.168
O7 0.171 0.251 0.821
O8 0.172 0.748 0.823
O9 0.224 0.036 0.588
```

Largest 6 diffraction maxima, in order of falling intensity, 2θ = 10–80°:
| h k l | 2θ (°) | I/Imax |
| --- | --- | --- |
| 3 1 -3 | 28.8 | 100 |
| 3 1 0 | 28.7 | 100 |
| 2 0 -1 | 11.4 | 61 |
| 1 1 -2 | 23.6 | 35 |
| 0 2 3 | 46.7 | 32 |
| 0 2 0 | 32.9 | 31 |


Record 2
# TiBiP3O12
Computed X-ray powder pattern, Cu Kα X-rays. Input: a crystal structure in the Materials Project, relaxed with GGA-PBE.

Structure:
```
data_TiBiP3O12
_symmetry_space_group_name_H-M 'R 3 c'
_symmetry_Int_Tables_number 161
_symmetry_space_group_name_Hall 'R 3 -2"c'
_cell_length_a 8.8019
_cell_length_b 8.8019
_cell_length_c 22.2865
_cell_angle_alpha 90.00
_cell_angle_beta 90.00
_cell_angle_gamma 120.00
loop_
_atom_site_label
_atom_site_fract_x
_atom_site_fract_y
_atom_site_fract_z
Ti1 0.0000 0.0000 0.0000
Bi1 0.0000 0.0000 0.2850
P1 0.0477 0.3745 0.0584
O1 0.0312 0.2207 0.3316
O2 0.0325 0.1933 0.0495
O3 0.1560 0.4735 0.3926
O4 0.1617 0.4717 0.1122
```

Largest 6 diffraction maxima, in order of falling intensity, 2θ = 10–80°:
| h k l | 2θ (°) | I/Imax |
| --- | --- | --- |
| 0 1 2 | 14.1 | 100 |
| 1 0 4 | 19.7 | 98 |
| 1 1 0 | 20.2 | 69 |
| 0 2 4 | 28.4 | 56 |
| 1 1 6 | 31.5 | 55 |
| 1 1 3 | 23.5 | 40 |


Record 3
# Ti3Bi2P6O24
Computed X-ray powder pattern, Cu Kα X-rays. Input: a crystal structure in the Materials Project, relaxed with GGA-PBE.

Structure:
```
data_Ti3Bi2P6O24
_symmetry_space_group_name_H-M 'R 3'
_symmetry_Int_Tables_number 146
_symmetry_space_group_name_Hall 'R 3'
_cell_length_a 8.7589
_cell_length_b 8.7589
_cell_length_c 21.8684
_cell_angle_alpha 90.00
_cell_angle_beta 90.00
_cell_angle_gamma 120.00
loop_
_atom_site_label
_atom_site_fract_x
_atom_site_fract_y
_atom_site_fract_z
Ti1 0.0000 0.0000 0.0000
Ti2 0.0000 0.0000 0.2098
Ti3 0.0000 0.0000 0.6911
Bi1 0.0000 0.0000 0.3734
Bi2 0.0000 0.0000 0.8477
P1 0.0046 0.3063 0.5946
P2 0.0608 0.6855 0.7692
O1 0.0239 0.1879 0.9444
O2 0.0355 0.8511 0.7672
O3 0.0362 0.1908 0.2677
O4 0.0497 0.2656 0.5336
O5 0.1503 0.6999 0.0975
O6 0.1506 0.4812 0.3166
O7 0.1597 0.6943 0.8286
O8 0.1739 0.7042 0.7131
```

Largest 6 diffraction maxima, in order of falling intensity, 2θ = 10–80°:
| h k l | 2θ (°) | I/Imax |
| --- | --- | --- |
| 1 1 0 | 20.3 | 100 |
| 0 1 2 | 14.2 | 86 |
| 2 -1 6 | 31.9 | 83 |
| 2 0 2 | 24.8 | 51 |
| 1 1 3 | 23.7 | 48 |
| 3 -2 2 | 32.3 | 45 |


Record 4
# Zn2BiPO6
Computed X-ray powder pattern, Cu Kα X-rays. Input: a crystal structure in the Materials Project, relaxed with GGA-PBE.

Structure:
```
data_Zn2BiPO6
_symmetry_space_group_name_H-M 'P n m a'
_symmetry_Int_Tables_number 62
_symmetry_space_group_name_Hall '-P 2ac 2n'
_cell_length_a 12.144
_cell_length_b 5.340
_cell_length_c 7.922
_cell_angle_alpha 90.00
_cell_angle_beta 90.00
_cell_angle_gamma 90.00
loop_
_atom_site_label
_atom_site_fract_x
_atom_site_fract_y
_atom_site_fract_z
Zn1 0.092 0.250 0.201
Zn2 0.104 0.250 0.805
Bi1 0.098 0.750 0.484
P1 0.199 0.750 0.025
O1 0.007 0.002 0.673
O2 0.127 0.507 0.006
O3 0.208 0.250 0.393
O4 0.244 0.750 0.208
```

Largest 6 diffraction maxima, in order of falling intensity, 2θ = 10–80°:
| h k l | 2θ (°) | I/Imax |
| --- | --- | --- |
| 2 1 2 | 31.8 | 100 |
| 3 1 1 | 29.9 | 88 |
| 1 0 1 | 13.3 | 48 |
| 1 2 3 | 49.1 | 27 |
| 0 2 0 | 33.6 | 26 |
| 1 1 1 | 21.4 | 24 |